For Pr2MgAl2Ni5, DFT lattice parameters and positions (GGA-PBE) gives the simulated powder X-ray diffraction pattern in this record (Cu Kα, 1.54184 Å).

Cell lengths 10.074, 10.074, 3.379 Å; angles 90.00, 90.00, 90.00 degrees
Space group P4/mbm (No. 127)
One atom of each set of equivalent atoms:
Pr (0.180, 0.320, 0.000)
Mg (0.000, 0.000, 0.000)
Al (0.117, 0.617, 0.000)
Ni (0.000, 0.500, 0.500)
Ni (0.058, 0.781, 0.500)

Most intense lines, 2θ from 5° to 70°, sorted by position:
2theta  Rel. int.
19.70  22.5
31.89  30.5
33.14  78.7
36.66  37.6
36.78  100.0
37.89  39.3
38.85  79.7
41.96  36.1
65.46  29.8
67.40  32.3

For Pm2Pu2N3, DFT lattice parameters and positions (GGA-PBE) gives the simulated powder X-ray diffraction pattern in this record (Cu Kα, 1.54184 Å).

Cell lengths 14.647, 12.100, 5.907 Å; angles 90.00, 109.79, 90.00 degrees
Space group C2/c (No. 15)
One atom of each set of equivalent atoms:
Pm (0.000, 0.080, 0.250)
Pm (0.000, 0.200, 0.750)
Pm (0.090, 0.407, 0.595)
Pu (0.190, 0.248, 0.218)
Pu (0.211, 0.069, 0.766)
N (0.088, 0.393, 0.008)
N (0.117, 0.073, 0.018)
N (0.128, 0.211, 0.524)

Most intense lines, 2θ from 5° to 70°, sorted by position:
2theta  Rel. int.
12.85  20.8
27.99  27.7
30.05  16.6
30.28  100.0
31.49  16.9
32.21  25.5
33.34  31.5
36.81  23.1
38.20  42.3
44.95  17.3